The following is a simulated PXRD pattern of GdHoZn4. It was derived from a cell relaxed with PBE, using Cu Kα X-rays.
Kinematic intensities with the Lorentz-polarization factor, no thermal factor.

Main lines, in order of rising 2θ (2θ = 10–90°):
(hkl)	2θ (°)	I/Imax
1 0 1	23.1	20
1 1 2	33.5	19
1 2 1	34.4	100
0 2 2	34.7	44
2 0 0	40.4	31
1 0 3	41.2	49
2 2 2	54.2	28
1 3 4	66.7	12
1 4 3	67.9	11
3 2 1	69.5	13

Crystal structure
```
data_GdHoZn4
_chemical_formula_sum 'Gd2 Ho2 Zn8'
_space_group_name_H-M_alt 'I m m 2'
_space_group_IT_number 44
_space_group_name_Hall 'I 2 -2'
_cell_length_a 4.470
_cell_length_b 7.107
_cell_length_c 7.548
_cell_angle_alpha 90.00
_cell_angle_beta 90.00
_cell_angle_gamma 90.00
loop_
_atom_site_label
_atom_site_fract_x
_atom_site_fract_y
_atom_site_fract_z
Gd1 0.000 0.000 0.000
Ho1 0.000 0.500 0.940
Zn1 0.000 0.206 0.635
Zn2 0.000 0.294 0.304
```